1.
This entry pairs a crystal structure of Y2Cl3 with its simulated powder XRD pattern. Radiation: λ = 1.5418 Å (Cu Kα). Structure: a crystal structure in the Materials Project, relaxed with GGA-PBE.
Lines closer than 0.1° are merged.

The 10 most intense peaks (15° ≤ 2θ ≤ 90°), in order of falling intensity:
d 3.282, intensity 100
d 2.692, intensity 81
d 3.075, intensity 62
d 2.541, intensity 54
d 2.436, intensity 49
d 1.929, intensity 48
d 2.551, intensity 42
d 2.294, intensity 38
d 1.991, intensity 37
d 5.103, intensity 31

Structural model:
```
Y2Cl3
1.0
7.9171 -1.9300 0.0000
7.9171 1.9300 0.0000
-5.1632 0.0000 8.9958
Y Cl
4 6
Direct
0.0849 0.0849 0.4517
0.3623 0.3623 0.2097
0.6377 0.6377 0.7903
0.9151 0.9151 0.5483
0.1619 0.1619 0.0066
0.2761 0.2761 0.3824
0.4571 0.4571 0.7614
0.5429 0.5429 0.2386
0.7239 0.7239 0.6176
0.8381 0.8381 0.9934
```

2.
This entry pairs a crystal structure of Cr3NiSb4 with its simulated powder XRD pattern. Radiation: λ = 1.5418 Å (Cu Kα). Structure: a crystal structure in the Materials Project, relaxed with GGA-PBE.
Lines closer than 0.1° are merged.

The 10 most intense peaks (15° ≤ 2θ ≤ 90°), in order of falling intensity:
d 2.976, intensity 100
d 2.203, intensity 53
d 2.019, intensity 47
d 1.671, intensity 18
d 1.663, intensity 16
d 1.287, intensity 15
d 1.488, intensity 14
d 1.198, intensity 13
d 1.160, intensity 12
d 1.166, intensity 7

Structural model:
```
Cr3NiSb4
1.0
4.0376 0.0000 0.0000
-2.0188 3.4967 0.0000
0.0000 0.0000 11.3434
Cr Ni Sb
3 1 4
Direct
0.0000 0.0000 0.0000
0.0000 0.0000 0.2563
0.0000 0.0000 0.7437
0.0000 0.0000 0.5000
0.3333 0.6667 0.3880
0.3333 0.6667 0.8734
0.6667 0.3333 0.1266
0.6667 0.3333 0.6120
```

3.
This entry pairs a crystal structure of K3AlF6 with its simulated powder XRD pattern. Radiation: λ = 1.5418 Å (Cu Kα). Structure: a crystal structure in the Materials Project, relaxed with GGA-PBE.
Lines closer than 0.1° are merged.

The 10 most intense peaks (15° ≤ 2θ ≤ 90°), in order of falling intensity:
d 3.079, intensity 100
d 2.177, intensity 76
d 1.539, intensity 37
d 2.514, intensity 36
d 1.777, intensity 26
d 1.377, intensity 22
d 1.164, intensity 20
d 1.998, intensity 11
d 1.257, intensity 10
d 4.354, intensity 9

Structural model:
```
K3AlF6
1.0
0.0000 4.3538 4.3538
4.3538 0.0000 4.3538
4.3538 4.3538 0.0000
K Al F
3 1 6
Direct
0.0000 0.0000 0.0000
0.2500 0.2500 0.2500
0.7500 0.7500 0.7500
0.5000 0.5000 0.5000
0.2893 0.2893 0.7107
0.2893 0.7107 0.2893
0.2893 0.7107 0.7107
0.7107 0.2893 0.2893
0.7107 0.2893 0.7107
0.7107 0.7107 0.2893
```